No. 1
The following is a computed powder diffractogram of U2ClF6. It was derived from a crystal structure in Alexandria, relaxed with PBE, using Cu Kα.
Lines closer than 0.1° are merged.

Principal peaks in the range 2θ = 15–90°, sorted by position:
| 2theta | d_spacing | I/Imax |
| --- | --- | --- |
| 18.80 | 4.721 | 63 |
| 24.23 | 3.674 | 42 |
| 24.43 | 3.644 | 100 |
| 30.88 | 2.896 | 61 |
| 31.00 | 2.884 | 45 |
| 42.75 | 2.115 | 29 |
| 43.12 | 2.098 | 19 |
| 43.58 | 2.077 | 30 |
| 47.06 | 1.931 | 44 |
| 53.97 | 1.699 | 27 |

```
data_U2ClF6
_chemical_formula_sum 'U4 Cl2 F12'
_cell_length_a 4.1960
_cell_length_b 7.3477
_cell_length_c 9.4417
_cell_angle_alpha 90.00
_cell_angle_beta 90.00
_cell_angle_gamma 90.00
_symmetry_space_group_name_H-M 'I m m m'
_symmetry_Int_Tables_number 71
_symmetry_space_group_name_Hall '-I 2 2'
loop_
_atom_site_label
_atom_site_fract_x
_atom_site_fract_y
_atom_site_fract_z
_atom_site_occupancy
U1 0.0000 0.0000 0.2092 1
Cl1 0.0000 0.0000 0.5000 1
F1 0.0000 0.1647 0.0000 1
F2 0.0000 0.3325 0.2831 1
```

No. 2
The following is a computed powder diffractogram of UCl4F. It was derived from a crystal structure in Alexandria, relaxed with PBE, using Cu Kα.
Lines closer than 0.1° are merged.

Principal peaks in the range 2θ = 15–90°, sorted by position:
| 2theta | d_spacing | I/Imax |
| --- | --- | --- |
| 18.61 | 4.769 | 49 |
| 21.80 | 4.077 | 100 |
| 28.81 | 3.099 | 28 |
| 29.62 | 3.016 | 45 |
| 34.52 | 2.598 | 25 |
| 39.50 | 2.282 | 20 |
| 42.38 | 2.133 | 20 |
| 44.00 | 2.058 | 34 |
| 50.54 | 1.806 | 20 |
| 52.06 | 1.757 | 21 |

```
data_UCl4F
_chemical_formula_sum 'U2 Cl8 F2'
_cell_length_a 9.5371
_cell_length_b 9.5371
_cell_length_c 4.5098
_cell_angle_alpha 90.00
_cell_angle_beta 90.00
_cell_angle_gamma 90.00
_symmetry_space_group_name_H-M 'I 4/m'
_symmetry_Int_Tables_number 87
_symmetry_space_group_name_Hall '-I 4'
loop_
_atom_site_label
_atom_site_fract_x
_atom_site_fract_y
_atom_site_fract_z
_atom_site_occupancy
U1 0.0000 0.0000 0.0000 1
Cl1 0.0592 0.7467 0.0000 1
F1 0.0000 0.0000 0.5000 1
```